No. 1
Simulated powder diffraction line list of Tl2RhF8 for Cu Kα, 1.54184 Å, from DFT lattice parameters and positions (PBE).
No peak broadening, texture or thermal motion is included.

Structural model:
```
data_Tl2RhF8
_space_group_name_H-M_alt 'C 1 2/m 1'
_space_group_IT_number 12
_cell_length_a 9.698
_cell_length_b 7.454
_cell_length_c 4.731
_cell_angle_alpha 90.00
_cell_angle_beta 109.09
_cell_angle_gamma 90.00
loop_
_space_group_symop_operation_xyz
'x,y,z'
'-x,-y,-z'
'-x,y,-z'
'x,-y,z'
'x+1/2,y+1/2,z'
'-x+1/2,-y+1/2,-z'
'-x+1/2,y+1/2,-z'
'x+1/2,-y+1/2,z'
loop_
_atom_site_label
_atom_site_fract_x
_atom_site_fract_y
_atom_site_fract_z
_atom_site_occupancy
Tl1 0.165 0.000 0.359 1
Rh1 0.000 0.500 0.000 1
F1 0.084 0.000 0.800 1
F2 0.118 0.500 0.729 1
F3 0.143 0.322 0.250 1
```

The 10 most intense peaks (10° ≤ 2θ ≤ 80°), by angle:
h k l, two_theta, intensity
2 0 -1, 22.80, 96.7
0 2 0, 23.88, 95.7
1 1 1, 27.62, 100.0
3 1 0, 31.65, 65.6
2 2 -1, 33.25, 41.9
1 1 -2, 40.13, 39.7
1 3 1, 44.37, 39.4
4 0 -2, 46.55, 26.6
3 3 0, 47.15, 32.6
5 1 -1, 48.68, 26.5



No. 2
Simulated powder diffraction line list of RbNb3Zn4O12 for Cu Kα, 1.54184 Å, from DFT lattice parameters and positions (PBE).
No peak broadening, texture or thermal motion is included.

Structural model:
```
data_RbNb3Zn4O12
_space_group_name_H-M_alt 'R 3 2'
_space_group_IT_number 155
_space_group_name_Hall 'R 3 2"'
_cell_length_a 11.3750
_cell_length_b 11.3750
_cell_length_c 7.6360
_cell_angle_alpha 90.00
_cell_angle_beta 90.00
_cell_angle_gamma 120.00
loop_
_atom_site_label
_atom_site_fract_x
_atom_site_fract_y
_atom_site_fract_z
_atom_site_occupancy
Rb1 0.0000 0.0000 0.0000 1
Nb1 0.0000 0.5557 0.0000 1
Zn1 0.0000 0.0000 0.5000 1
Zn2 0.0000 0.4444 0.5000 1
O1 0.0000 0.6095 0.5000 1
O2 0.0000 0.8316 0.5000 1
O3 0.0618 0.2350 0.1982 1
```

The 10 most intense peaks (10° ≤ 2θ ≤ 80°), by angle:
h k l, two_theta, intensity
2 1 1, 26.64, 33.7
2 0 2, 29.60, 100.0
2 2 0, 31.46, 37.9
1 3 1, 34.88, 25.5
0 4 2, 43.74, 12.4
0 2 4, 51.33, 17.8
5 1 1, 53.14, 18.4
4 1 3, 55.99, 18.1
5 2 0, 58.51, 15.8
3 3 3, 60.93, 11.1